No. 1
For Tm5AlBi2, DFT lattice parameters and positions (GGA-PBE) gives the theoretical powder diffraction line list in this record (Cu Kα (λ = 1.5418 Å)).
No peak broadening, texture or thermal motion is included.

Principal peaks in the range 10° ≤ 2θ ≤ 80°, most intense first:
| (hkl) | Position (°2θ) | d [Å] | Rel. int. |
| --- | --- | --- | --- |
| 1 3 3 | 34.01 | 2.636 | 100 |
| 2 0 0 | 32.44 | 2.760 | 55 |
| 1 1 4 | 30.44 | 2.936 | 48 |
| 3 3 3 | 58.88 | 1.569 | 32 |
| 1 3 1 | 29.09 | 3.070 | 28 |
| 1 1 5 | 35.74 | 2.512 | 25 |
| 0 4 1 | 31.86 | 2.809 | 24 |
| 2 4 1 | 46.11 | 1.969 | 18 |

Atomic structure:
a b c (Å): 5.5194 11.4515 14.5541
angles (deg): 90.00 90.00 90.00
Space group Cmcm (No. 63)
Inequivalent atoms, fractional coordinates:
Tm 0.0000 0.0529 0.2500 (multiplicity 4)
Tm 0.0000 0.1214 0.5526 (multiplicity 8)
Tm 0.0000 0.4244 0.5977 (multiplicity 8)
Al 0.0000 0.2300 0.7500 (multiplicity 4)
Bi 0.0000 0.2883 0.1244 (multiplicity 8)

---

No. 2
For AlBr4, DFT lattice parameters and positions (GGA-PBE) gives the theoretical powder diffraction line list in this record (Cu Kα (λ = 1.5418 Å)).
No peak broadening, texture or thermal motion is included.

Principal peaks in the range 10° ≤ 2θ ≤ 80°, most intense first:
| (hkl) | Position (°2θ) | d [Å] | Rel. int. |
| --- | --- | --- | --- |
| 5 3 1 | 28.04 | 3.183 | 100 |
| 2 2 0 | 13.30 | 6.657 | 27 |
| 2 2 2 | 16.31 | 5.435 | 19 |
| 6 0 0 | 28.44 | 3.138 | 19 |
| 11 5 3 | 61.29 | 1.512 | 13 |
| 6 6 6 | 50.36 | 1.812 | 11 |
| 6 6 4 | 45.17 | 2.007 | 11 |
| 9 5 3 | 52.09 | 1.756 | 10 |

Atomic structure:
a b c (Å): 18.8288 18.8288 18.8288
angles (deg): 90.00 90.00 90.00
Space group Fm-3c (No. 226)
Inequivalent atoms, fractional coordinates:
Al 0.0000 0.0000 0.2500 (multiplicity 24)
Br 0.0000 0.1016 0.1804 (multiplicity 96)

---

No. 3
For AlBr4, DFT lattice parameters and positions (GGA-PBE) gives the theoretical powder diffraction line list in this record (Cu Kα (λ = 1.5418 Å)).
No peak broadening, texture or thermal motion is included.

Principal peaks in the range 10° ≤ 2θ ≤ 80°, most intense first:
| (hkl) | Position (°2θ) | d [Å] | Rel. int. |
| --- | --- | --- | --- |
| 2 1 1 | 26.40 | 3.376 | 100 |
| 1 1 0 | 12.88 | 6.874 | 71 |
| 2 0 1 | 24.73 | 3.600 | 29 |
| 3 1 2 | 44.88 | 2.020 | 16 |
| 3 1 1 | 33.61 | 2.666 | 15 |
| 4 1 0 | 38.17 | 2.358 | 13 |
| 3 1 0 | 29.05 | 3.074 | 13 |
| 3 2 0 | 33.23 | 2.696 | 13 |

Atomic structure:
a b c (Å): 9.7216 9.7216 5.3576
angles (deg): 90.00 90.00 90.00
Space group P-42_1c (No. 114)
Inequivalent atoms, fractional coordinates:
Al 0.0000 0.0000 0.0000 (multiplicity 2)
Br 0.0962 0.1728 0.7574 (multiplicity 8)

---

No. 4
For CaAlH4Br, DFT lattice parameters and positions (GGA-PBE) gives the theoretical powder diffraction line list in this record (Cu Kα (λ = 1.5418 Å)).
No peak broadening, texture or thermal motion is included.

Principal peaks in the range 10° ≤ 2θ ≤ 80°, most intense first:
| (hkl) | Position (°2θ) | d [Å] | Rel. int. |
| --- | --- | --- | --- |
| 1 1 0 | 15.83 | 5.599 | 100 |
| 0 2 0 | 25.88 | 3.442 | 90 |
| 3 1 -1 | 30.77 | 2.906 | 77 |
| 3 1 -2 | 36.40 | 2.468 | 74 |
| 0 0 2 | 26.92 | 3.312 | 45 |
| 1 1 2 | 33.29 | 2.691 | 41 |
| 0 2 2 | 37.69 | 2.387 | 36 |
| 3 3 -1 | 48.81 | 1.866 | 22 |

Atomic structure:
a b c (Å): 9.9123 6.8847 6.8229
angles (deg): 90.00 103.85 90.00
Space group C2/m (No. 12)
Inequivalent atoms, fractional coordinates:
Ca 0.2262 0.0000 0.1342 (multiplicity 4)
Al 0.1267 0.5000 0.2540 (multiplicity 4)
H 0.0406 0.5000 0.7919 (multiplicity 4)
H 0.1785 0.3227 0.1258 (multiplicity 8)
H 0.1974 0.5000 0.4940 (multiplicity 4)
Br 0.0309 0.0000 0.7512 (multiplicity 4)

---

No. 5
For Al2CdBr8, DFT lattice parameters and positions (GGA-PBE) gives the theoretical powder diffraction line list in this record (Cu Kα (λ = 1.5418 Å)).
No peak broadening, texture or thermal motion is included.

Principal peaks in the range 10° ≤ 2θ ≤ 80°, most intense first:
| (hkl) | Position (°2θ) | d [Å] | Rel. int. |
| --- | --- | --- | --- |
| 0 1 1 | 12.55 | 7.052 | 100 |
| 2 1 -2 | 28.31 | 3.153 | 87 |
| 0 2 3 | 29.30 | 3.048 | 47 |
| 2 0 -2 | 26.10 | 3.414 | 42 |
| 0 1 3 | 22.46 | 3.959 | 39 |
| 1 2 3 | 32.20 | 2.780 | 33 |
| 2 0 2 | 27.83 | 3.205 | 27 |
| 1 4 -1 | 45.93 | 1.976 | 27 |

Atomic structure:
a b c (Å): 7.5889 8.2560 13.5994
angles (deg): 90.00 94.23 90.00
Space group Pc (No. 7)
Inequivalent atoms, fractional coordinates:
Al 0.0000 0.1452 0.0000 (multiplicity 2)
Al 0.5937 0.3357 0.2557 (multiplicity 2)
Cd 0.1527 0.1728 0.2583 (multiplicity 2)
Br 0.1031 0.3762 0.0894 (multiplicity 2)
Br 0.2324 0.0671 0.9036 (multiplicity 2)
Br 0.3728 0.3993 0.3641 (multiplicity 2)
Br 0.4929 0.0868 0.1891 (multiplicity 2)
Br 0.6210 0.4649 0.6432 (multiplicity 2)
Br 0.7440 0.1897 0.9084 (multiplicity 2)
Br 0.8608 0.2938 0.3548 (multiplicity 2)
Br 0.9804 0.0491 0.6274 (multiplicity 2)

---

No. 6
For AlBrCl2, DFT lattice parameters and positions (GGA-PBE) gives the theoretical powder diffraction line list in this record (Cu Kα (λ = 1.5418 Å)).
No peak broadening, texture or thermal motion is included.

Principal peaks in the range 10° ≤ 2θ ≤ 80°, most intense first:
| (hkl) | Position (°2θ) | d [Å] | Rel. int. |
| --- | --- | --- | --- |
| 1 1 -3 | 26.52 | 3.361 | 100 |
| 0 0 2 | 10.95 | 8.082 | 45 |
| 0 1 -1 | 14.60 | 6.068 | 30 |
| 0 2 6 | 43.52 | 2.079 | 18 |
| 2 2 0 | 42.03 | 2.150 | 15 |
| 1 1 5 | 34.72 | 2.584 | 14 |
| 0 2 0 | 27.24 | 3.273 | 14 |
| 2 0 6 | 46.37 | 1.958 | 12 |

Atomic structure:
a b c (Å): 5.7019 6.5470 16.1640
angles (deg): 90.02 90.00 90.03
Space group P-1 (No. 2)
Inequivalent atoms, fractional coordinates:
Al 0.9996 0.2502 0.1606 (multiplicity 2)
Al 0.4997 0.2497 0.3390 (multiplicity 2)
Br 0.2495 0.0421 0.2497 (multiplicity 2)
Br 0.2502 0.5421 0.7501 (multiplicity 2)
Cl 0.2055 0.4676 0.0994 (multiplicity 2)
Cl 0.2062 0.9668 0.9008 (multiplicity 2)
Cl 0.2940 0.4667 0.4005 (multiplicity 2)
Cl 0.2947 0.9676 0.5997 (multiplicity 2)

---

No. 7
For MnAl2Br6Cl2, DFT lattice parameters and positions (GGA-PBE) gives the theoretical powder diffraction line list in this record (Cu Kα (λ = 1.5418 Å)).
No peak broadening, texture or thermal motion is included.

Principal peaks in the range 10° ≤ 2θ ≤ 80°, most intense first:
| (hkl) | Position (°2θ) | d [Å] | Rel. int. |
| --- | --- | --- | --- |
| 1 1 1 | 28.08 | 3.178 | 100 |
| 2 -1 2 | 32.31 | 2.770 | 79 |
| 3 0 0 | 46.84 | 1.940 | 34 |
| 1 1 4 | 45.85 | 1.979 | 34 |
| 1 0 1 | 17.73 | 5.003 | 32 |
| 0 0 3 | 27.31 | 3.265 | 29 |
| 3 0 3 | 55.07 | 1.668 | 22 |
| 2 -1 3 | 38.45 | 2.342 | 17 |

Atomic structure:
a b c (Å): 6.7189 6.7189 9.7961
angles (deg): 90.00 90.00 120.00
Space group P-3 (No. 147)
Inequivalent atoms, fractional coordinates:
Mn 0.0000 0.0000 0.0000 (multiplicity 1)
Al 0.3333 0.6667 0.7540 (multiplicity 2)
Br 0.0072 0.6768 0.8368 (multiplicity 6)
Cl 0.3333 0.6667 0.5404 (multiplicity 2)

---

No. 8
For Al2PbBr2Cl6, DFT lattice parameters and positions (GGA-PBE) gives the theoretical powder diffraction line list in this record (Cu Kα (λ = 1.5418 Å)).
No peak broadening, texture or thermal motion is included.

Principal peaks in the range 10° ≤ 2θ ≤ 80°, most intense first:
| (hkl) | Position (°2θ) | d [Å] | Rel. int. |
| --- | --- | --- | --- |
| 1 0 1 | 17.33 | 5.117 | 100 |
| 2 -1 2 | 31.29 | 2.858 | 32 |
| 0 1 2 | 22.08 | 4.025 | 29 |
| 1 0 3 | 28.36 | 3.147 | 27 |
| 0 2 1 | 32.17 | 2.782 | 26 |
| 2 1 1 | 42.42 | 2.131 | 22 |
| 1 1 0 | 26.90 | 3.315 | 21 |
| 3 0 0 | 47.51 | 1.914 | 16 |

Atomic structure:
a b c (Å): 6.6294 6.6294 11.2896
angles (deg): 90.00 90.00 120.00
Space group P-3 (No. 147)
Inequivalent atoms, fractional coordinates:
Al 0.3333 0.6667 0.2738 (multiplicity 2)
Pb 0.0000 0.0000 0.5000 (multiplicity 1)
Br 0.3333 0.6667 0.0749 (multiplicity 2)
Cl 0.0177 0.6489 0.3473 (multiplicity 6)

---

No. 9
For Rb2AlBrCl6, DFT lattice parameters and positions (GGA-PBE) gives the theoretical powder diffraction line list in this record (Cu Kα (λ = 1.5418 Å)).
No peak broadening, texture or thermal motion is included.

Principal peaks in the range 10° ≤ 2θ ≤ 80°, most intense first:
| (hkl) | Position (°2θ) | d [Å] | Rel. int. |
| --- | --- | --- | --- |
| 1 1 2 | 23.63 | 3.766 | 100 |
| 2 2 0 | 31.60 | 2.831 | 95 |
| 2 0 2 | 28.47 | 3.136 | 81 |
| 2 0 0 | 22.20 | 4.004 | 66 |
| 2 2 4 | 48.34 | 1.883 | 52 |
| 0 0 4 | 35.61 | 2.521 | 41 |
| 3 1 2 | 39.84 | 2.263 | 31 |
| 2 1 1 | 26.41 | 3.375 | 29 |

Atomic structure:
a b c (Å): 8.0078 8.0078 10.0849
angles (deg): 90.00 90.00 90.00
Space group I4/mmm (No. 139)
Inequivalent atoms, fractional coordinates:
Rb 0.0000 0.5000 0.2500 (multiplicity 4)
Al 0.0000 0.0000 0.0000 (multiplicity 2)
Br 0.0000 0.0000 0.5000 (multiplicity 2)
Cl 0.0000 0.0000 0.2620 (multiplicity 4)
Cl 0.1995 0.1995 0.0000 (multiplicity 8)

---

No. 10
For AlSb2Te2BrCl4, DFT lattice parameters and positions (GGA-PBE) gives the theoretical powder diffraction line list in this record (Cu Kα (λ = 1.5418 Å)).
No peak broadening, texture or thermal motion is included.

Principal peaks in the range 10° ≤ 2θ ≤ 80°, most intense first:
| (hkl) | Position (°2θ) | d [Å] | Rel. int. |
| --- | --- | --- | --- |
| 0 2 3 | 28.93 | 3.087 | 100 |
| 2 2 -3 | 29.31 | 3.047 | 66 |
| 6 0 2 | 29.56 | 3.022 | 41 |
| 2 0 -2 | 14.35 | 6.173 | 30 |
| 6 2 -1 | 32.57 | 2.749 | 27 |
| 8 0 0 | 33.00 | 2.714 | 25 |
| 8 2 -1 | 39.26 | 2.295 | 23 |
| 0 4 0 | 42.94 | 2.106 | 23 |

Atomic structure:
a b c (Å): 21.9363 8.4257 13.7455
angles (deg): 90.00 98.16 90.00
Space group C2/c (No. 15)
Inequivalent atoms, fractional coordinates:
Al 0.2270 0.1259 0.1693 (multiplicity 8)
Sb 0.0575 0.3714 0.1076 (multiplicity 8)
Sb 0.0630 0.1211 0.6070 (multiplicity 8)
Te 0.0694 0.1268 0.9586 (multiplicity 8)
Te 0.0749 0.3766 0.4643 (multiplicity 8)
Br 0.0000 0.1253 0.2500 (multiplicity 4)
Br 0.0000 0.3757 0.7500 (multiplicity 4)
Cl 0.1702 0.1181 0.2840 (multiplicity 8)
Cl 0.1754 0.3688 0.7858 (multiplicity 8)
Cl 0.1982 0.3396 0.0847 (multiplicity 8)
Cl 0.2036 0.0817 0.5770 (multiplicity 8)

---

No. 11
For Al2CrBr, DFT lattice parameters and positions (GGA-PBE) gives the theoretical powder diffraction line list in this record (Cu Kα (λ = 1.5418 Å)).
No peak broadening, texture or thermal motion is included.

Principal peaks in the range 10° ≤ 2θ ≤ 80°, most intense first:
| (hkl) | Position (°2θ) | d [Å] | Rel. int. |
| --- | --- | --- | --- |
| 1 0 2 | 36.16 | 2.484 | 100 |
| 0 0 1 | 11.48 | 7.711 | 65 |
| 1 1 0 | 39.22 | 2.297 | 52 |
| 1 0 3 | 44.97 | 2.016 | 29 |
| 1 0 1 | 29.84 | 2.994 | 28 |
| 2 1 2 | 69.09 | 1.359 | 27 |
| 2 0 0 | 56.67 | 1.624 | 17 |
| 1 1 5 | 74.04 | 1.280 | 13 |

Atomic structure:
a b c (Å): 3.2485 3.2485 7.7111
angles (deg): 90.00 90.00 90.00
Space group P4mm (No. 99)
Inequivalent atoms, fractional coordinates:
Al 0.0000 0.0000 0.0000 (multiplicity 1)
Al 0.5000 0.5000 0.2084 (multiplicity 1)
Cr 0.5000 0.5000 0.7914 (multiplicity 1)
Br 0.0000 0.0000 0.5751 (multiplicity 1)